(1)
Computed XRD peak list of Pm4ZnCd3 for a wavelength of 1.5418 Å, from a cell relaxed with GGA-PBE.
Intensities are scaled so that the largest is 100.

Main lines, in order of rising 2θ (15° ≤ 2θ ≤ 90°):
- (1 0 4), 33.34 deg, I = 100
- (1 1 0), 33.73 deg, I = 50
- (0 0 8), 47.28 deg, I = 8
- (2 0 0), 48.44 deg, I = 18
- (1 1 8), 59.33 deg, I = 17
- (2 1 4), 60.08 deg, I = 36
- (2 0 8), 70.01 deg, I = 10
- (3 1 0), 80.88 deg, I = 8

```
data_Pm4ZnCd3
_chemical_formula_sum 'Pm4 Zn1 Cd3'
_cell_length_a 3.7583
_cell_length_b 3.7583
_cell_length_c 15.3817
_cell_angle_alpha 90.00
_cell_angle_beta 90.00
_cell_angle_gamma 90.00
_symmetry_space_group_name_H-M 'P 4/m m m'
_symmetry_Int_Tables_number 123
_symmetry_space_group_name_Hall '-P 4 2'
loop_
_atom_site_label
_atom_site_type_symbol
_atom_site_fract_x
_atom_site_fract_y
_atom_site_fract_z
Pm1 Pm 0.0000 0.0000 0.1120
Pm2 Pm 0.0000 0.0000 0.3716
Zn1 Zn 0.5000 0.5000 0.0000
Cd1 Cd 0.5000 0.5000 0.2428
Cd2 Cd 0.5000 0.5000 0.5000
```

=====

(2)
Computed XRD peak list of AlSbPtI2 for a wavelength of 1.5418 Å, from a cell relaxed with GGA-PBE.
Intensities are scaled so that the largest is 100.

Main lines, in order of rising 2θ (15° ≤ 2θ ≤ 90°):
- (1 0 0), 15.57 deg, I = 100
- (0 0 1), 17.29 deg, I = 42
- (2 0 0), 31.44 deg, I = 80
- (0 0 2), 34.98 deg, I = 30
- (2 1 0), 35.27 deg, I = 28
- (2 0 1), 36.10 deg, I = 27
- (2 2 0), 45.06 deg, I = 30
- (2 0 2), 47.74 deg, I = 50

```
data_AlSbPtI2
_chemical_formula_sum 'Al1 Sb1 Pt1 I2'
_cell_length_a 5.6903
_cell_length_b 5.6903
_cell_length_c 5.1300
_cell_angle_alpha 90.00
_cell_angle_beta 90.00
_cell_angle_gamma 90.00
_symmetry_space_group_name_H-M 'P 4/m m m'
_symmetry_Int_Tables_number 123
_symmetry_space_group_name_Hall '-P 4 2'
loop_
_atom_site_label
_atom_site_type_symbol
_atom_site_fract_x
_atom_site_fract_y
_atom_site_fract_z
Al1 Al 0.0000 0.0000 0.0000
Sb1 Sb 0.5000 0.5000 0.0000
Pt1 Pt 0.5000 0.5000 0.5000
I1 I 0.0000 0.5000 0.5000
```